Record 1
Diffraction record for Y4TmOs2. The powder XRD pattern is simulated, not measured: it uses DFT lattice parameters and positions (GGA-PBE) and λ = 1.5418 Å (Cu Kα).

Atomic structure:
```
data_Y4TmOs2
_chemical_formula_sum 'Y8 Tm2 Os4'
_cell_length_a 7.846
_cell_length_b 6.274
_cell_length_c 7.905
_cell_angle_alpha 90.00
_cell_angle_beta 112.23
_cell_angle_gamma 90.00
_space_group_name_H-M_alt 'P 1'
_space_group_IT_number 1
_space_group_name_Hall 'P 1'
loop_
_atom_site_label
_atom_site_type_symbol
_atom_site_fract_x
_atom_site_fract_y
_atom_site_fract_z
Y1 Y 0.121 0.250 0.479
Y2 Y 0.175 0.750 0.253
Y3 Y 0.262 0.501 0.918
Y4 Y 0.262 0.999 0.918
Y5 Y 0.738 0.001 0.082
Y6 Y 0.738 0.499 0.082
Y7 Y 0.825 0.250 0.747
Y8 Y 0.879 0.750 0.521
Tm1 Tm 0.469 0.250 0.340
Tm2 Tm 0.531 0.750 0.660
Os1 Os 0.087 0.250 0.123
Os2 Os 0.475 0.250 0.750
Os3 Os 0.525 0.750 0.250
Os4 Os 0.913 0.750 0.877
```

The 6 most intense peaks (2θ = 10–90°), sorted by position:
d [Å], I/Imax
6.538, 57
3.137, 85
2.828, 67
2.447, 100
2.374, 80
2.332, 56

Record 2
Diffraction record for AlTe2RuI. The powder XRD pattern is simulated, not measured: it uses DFT lattice parameters and positions (GGA-PBE) and λ = 1.5418 Å (Cu Kα).

Atomic structure:
```
data_AlTe2RuI
_chemical_formula_sum 'Al1 Te2 Ru1 I1'
_cell_length_a 5.158
_cell_length_b 5.158
_cell_length_c 5.788
_cell_angle_alpha 90.00
_cell_angle_beta 90.00
_cell_angle_gamma 90.00
_space_group_name_H-M_alt 'P 1'
_space_group_IT_number 1
_space_group_name_Hall 'P 1'
loop_
_atom_site_label
_atom_site_type_symbol
_atom_site_fract_x
_atom_site_fract_y
_atom_site_fract_z
Al1 Al 0.000 0.000 0.000
Te1 Te 0.000 0.500 0.500
Te2 Te 0.500 0.000 0.500
Ru1 Ru 0.500 0.500 0.500
I1 I 0.500 0.500 0.000
```

The 6 most intense peaks (2θ = 10–90°), sorted by position:
d [Å], I/Imax
5.788, 51
5.158, 82
3.086, 100
2.894, 61
2.579, 88
1.925, 74

Record 3
Diffraction record for Be2AsW. The powder XRD pattern is simulated, not measured: it uses DFT lattice parameters and positions (GGA-PBE) and λ = 1.5418 Å (Cu Kα).

Atomic structure:
```
data_Be2AsW
_chemical_formula_sum 'Be2 As1 W1'
_cell_length_a 4.742
_cell_length_b 4.740
_cell_length_c 3.437
_cell_angle_alpha 68.78
_cell_angle_beta 68.71
_cell_angle_gamma 42.51
_space_group_name_H-M_alt 'P 1'
_space_group_IT_number 1
_space_group_name_Hall 'P 1'
loop_
_atom_site_label
_atom_site_type_symbol
_atom_site_fract_x
_atom_site_fract_y
_atom_site_fract_z
Be1 Be 0.000 0.000 0.000
Be2 Be 0.250 0.250 0.250
As1 As 0.750 0.750 0.750
W1 W 0.500 0.500 0.500
```

The 6 most intense peaks (2θ = 10–90°), sorted by position:
d [Å], I/Imax
3.167, 100
2.130, 34
2.087, 65
2.035, 15
1.719, 18
1.338, 15

Record 4
Diffraction record for ThNi3As3. The powder XRD pattern is simulated, not measured: it uses DFT lattice parameters and positions (GGA-PBE) and λ = 1.5418 Å (Cu Kα).

Atomic structure:
```
data_ThNi3As3
_chemical_formula_sum 'Th2 Ni6 As6'
_cell_length_a 8.126
_cell_length_b 8.126
_cell_length_c 4.175
_cell_angle_alpha 90.00
_cell_angle_beta 90.00
_cell_angle_gamma 120.00
_space_group_name_H-M_alt 'P 1'
_space_group_IT_number 1
_space_group_name_Hall 'P 1'
loop_
_atom_site_label
_atom_site_type_symbol
_atom_site_fract_x
_atom_site_fract_y
_atom_site_fract_z
Th1 Th 0.333 0.667 0.250
Th2 Th 0.667 0.333 0.750
Ni1 Ni 0.042 0.212 0.250
Ni2 Ni 0.170 0.958 0.250
Ni3 Ni 0.212 0.170 0.750
Ni4 Ni 0.788 0.830 0.250
Ni5 Ni 0.830 0.042 0.750
Ni6 Ni 0.958 0.788 0.750
As1 As 0.069 0.374 0.750
As2 As 0.305 0.931 0.750
As3 As 0.374 0.305 0.250
As4 As 0.626 0.695 0.750
As5 As 0.695 0.069 0.250
As6 As 0.931 0.626 0.250
```

The 6 most intense peaks (2θ = 10–90°), sorted by position:
d [Å], I/Imax
3.590, 45
2.691, 45
2.660, 36
2.346, 29
2.243, 100
2.087, 31